# 1
# LaCd6Ag2
Theoretical powder XRD pattern, CuKα. Input: a cell relaxed with GGA-PBE.
No peak broadening, texture or thermal motion is included.

Main lines, in order of rising 2θ (2θ from 10° to 90°):
- 2θ 32.8, intensity 100
- 2θ 38.4, intensity 33
- 2θ 39.6, intensity 49
- 2θ 40.4, intensity 11
- 2θ 57.3, intensity 16
- 2θ 60.8, intensity 11
- 2θ 67.6, intensity 22
- 2θ 71.1, intensity 10

```
LaCd6Ag2
1.0
4.5513 0.0000 0.0000
0.0000 4.5513 0.0000
0.0000 0.0000 10.2534
La Cd Ag
1 6 2
Direct
0.0000 0.0000 0.0000
0.0000 0.0000 0.5000
0.0000 0.5000 0.2906
0.0000 0.5000 0.7094
0.5000 0.0000 0.2906
0.5000 0.0000 0.7094
0.5000 0.5000 0.5000
0.5000 0.5000 0.1295
0.5000 0.5000 0.8705
```

# 2
# LaCd4Ag4
Theoretical powder XRD pattern, CuKα. Input: a cell relaxed with GGA-PBE.
No peak broadening, texture or thermal motion is included.

Main lines, in order of rising 2θ (2θ from 10° to 90°):
- 2θ 28.3, intensity 36
- 2θ 31.0, intensity 47
- 2θ 34.6, intensity 64
- 2θ 36.2, intensity 47
- 2θ 39.9, intensity 100
- 2θ 48.3, intensity 26
- 2θ 64.1, intensity 25
- 2θ 67.6, intensity 20

```
LaCd4Ag4
1.0
9.1353 0.0000 0.0000
0.0000 9.1353 0.0000
0.0000 0.0000 4.9661
La Cd Ag
2 8 8
Direct
0.2500 0.2500 0.2500
0.7500 0.7500 0.7500
0.1156 0.8398 0.7489
0.1602 0.6156 0.2489
0.3398 0.8844 0.2489
0.3844 0.6602 0.7489
0.6156 0.3398 0.2511
0.6602 0.1156 0.7511
0.8398 0.3844 0.7511
0.8844 0.1602 0.2511
0.0434 0.1395 0.7509
0.1395 0.4566 0.7491
0.3605 0.0434 0.7491
0.4566 0.3605 0.7509
0.5434 0.6395 0.2491
0.6395 0.9566 0.2509
0.8605 0.5434 0.2509
0.9566 0.8605 0.2491
```

# 3
# LaCd10Ag2
Theoretical powder XRD pattern, CuKα. Input: a cell relaxed with GGA-PBE.
No peak broadening, texture or thermal motion is included.

Main lines, in order of rising 2θ (2θ from 10° to 90°):
- 2θ 31.0, intensity 31
- 2θ 35.7, intensity 100
- 2θ 35.8, intensity 62
- 2θ 35.9, intensity 56
- 2θ 40.0, intensity 30
- 2θ 40.1, intensity 33
- 2θ 40.1, intensity 41
- 2θ 40.4, intensity 37

```
LaCd10Ag2
1.0
5.7661 0.0000 0.0000
2.8433 7.1076 0.0000
2.8286 0.0078 7.1384
La Cd Ag
1 10 2
Direct
0.0000 0.0000 0.0000
0.0000 0.0000 0.5000
0.0083 0.6419 0.3435
0.2849 0.2183 0.2101
0.3509 0.6421 0.6564
0.4956 0.2186 0.7897
0.5000 0.0000 0.5000
0.5044 0.7814 0.2103
0.6491 0.3579 0.3436
0.7151 0.7817 0.7899
0.9917 0.3581 0.6565
0.0000 0.5000 0.0000
0.5000 0.5000 0.0000
```

# 4
# NaLaCdAg
Theoretical powder XRD pattern, CuKα. Input: a cell relaxed with GGA-PBE.
No peak broadening, texture or thermal motion is included.

Main lines, in order of rising 2θ (2θ from 10° to 90°):
- 2θ 20.4, intensity 19
- 2θ 33.7, intensity 100
- 2θ 39.7, intensity 11
- 2θ 48.4, intensity 18
- 2θ 53.0, intensity 5
- 2θ 60.2, intensity 35
- 2θ 70.8, intensity 11
- 2θ 80.7, intensity 15

```
NaLaCdAg
1.0
7.5272 0.0000 0.0000
0.0000 7.5272 0.0000
0.0000 0.0000 7.5272
Na La Cd Ag
4 4 4 4
Direct
0.0000 0.0000 0.0000
0.0000 0.5000 0.5000
0.5000 0.0000 0.5000
0.5000 0.5000 0.0000
0.0000 0.0000 0.5000
0.0000 0.5000 0.0000
0.5000 0.0000 0.0000
0.5000 0.5000 0.5000
0.2500 0.2500 0.7500
0.2500 0.7500 0.2500
0.7500 0.2500 0.2500
0.7500 0.7500 0.7500
0.2500 0.2500 0.2500
0.2500 0.7500 0.7500
0.7500 0.2500 0.7500
0.7500 0.7500 0.2500
```

# 5
# La2NdCd2Ag2
Theoretical powder XRD pattern, CuKα. Input: a cell relaxed with GGA-PBE.
No peak broadening, texture or thermal motion is included.

Main lines, in order of rising 2θ (2θ from 10° to 90°):
- 2θ 31.1, intensity 53
- 2θ 33.7, intensity 74
- 2θ 36.1, intensity 100
- 2θ 50.2, intensity 23
- 2θ 61.8, intensity 16
- 2θ 63.4, intensity 23
- 2θ 63.8, intensity 28
- 2θ 64.9, intensity 17

```
La2NdCd2Ag2
1.0
2.4870 1.4359 9.0098
-2.4870 1.4359 9.0098
0.0000 -2.8718 9.0098
La Nd Cd Ag
2 1 2 2
Direct
0.1245 0.1245 0.1245
0.8755 0.8755 0.8755
0.0000 0.0000 0.0000
0.2673 0.2673 0.2673
0.7327 0.7327 0.7327
0.3955 0.3955 0.3955
0.6045 0.6045 0.6045
```

# 6
# LaNdCdAg
Theoretical powder XRD pattern, CuKα. Input: a cell relaxed with GGA-PBE.
No peak broadening, texture or thermal motion is included.

Main lines, in order of rising 2θ (2θ from 10° to 90°):
- 2θ 33.0, intensity 100
- 2θ 47.2, intensity 12
- 2θ 47.4, intensity 6
- 2θ 58.8, intensity 24
- 2θ 58.9, intensity 12
- 2θ 69.2, intensity 7
- 2θ 78.7, intensity 10
- 2θ 78.9, intensity 5

```
LaNdCdAg
1.0
3.8474 0.0000 0.0000
0.0000 3.8474 0.0000
0.0000 0.0000 7.6704
La Nd Cd Ag
1 1 1 1
Direct
0.0000 0.0000 0.0000
0.0000 0.0000 0.4843
0.5000 0.5000 0.7341
0.5000 0.5000 0.2539
```

# 7
# La2YCd2Ag2
Theoretical powder XRD pattern, CuKα. Input: a cell relaxed with GGA-PBE.
No peak broadening, texture or thermal motion is included.

Main lines, in order of rising 2θ (2θ from 10° to 90°):
- 2θ 24.7, intensity 14
- 2θ 31.3, intensity 43
- 2θ 33.9, intensity 76
- 2θ 36.5, intensity 100
- 2θ 50.7, intensity 24
- 2θ 64.0, intensity 23
- 2θ 64.2, intensity 22
- 2θ 65.7, intensity 17

```
La2YCd2Ag2
1.0
2.4620 1.4215 8.9793
-2.4620 1.4215 8.9793
0.0000 -2.8429 8.9793
La Y Cd Ag
2 1 2 2
Direct
0.1243 0.1243 0.1243
0.8757 0.8757 0.8757
0.0000 0.0000 0.0000
0.2698 0.2698 0.2698
0.7302 0.7302 0.7302
0.3910 0.3910 0.3910
0.6090 0.6090 0.6090
```

# 8
# Li2Cd5Ag2
Theoretical powder XRD pattern, CuKα. Input: a cell relaxed with GGA-PBE.
No peak broadening, texture or thermal motion is included.

Main lines, in order of rising 2θ (2θ from 10° to 90°):
- 2θ 22.0, intensity 60
- 2θ 22.3, intensity 32
- 2θ 37.8, intensity 48
- 2θ 37.9, intensity 53
- 2θ 38.2, intensity 95
- 2θ 38.6, intensity 100
- 2θ 54.6, intensity 32
- 2θ 69.0, intensity 32

```
Li2Cd5Ag2
1.0
4.0154 -2.3717 0.0000
4.0154 2.3717 0.0000
-2.8961 0.0000 9.6918
Li Cd Ag
2 5 2
Direct
0.0927 0.0927 0.2759
0.9073 0.9073 0.7241
0.2028 0.2028 0.6140
0.3034 0.3034 0.9191
0.5000 0.5000 0.5000
0.6966 0.6966 0.0809
0.7972 0.7972 0.3860
0.4047 0.4047 0.2101
0.5953 0.5953 0.7899
```